Starting from a DFT-relaxed cell (GGA-PBE, Alexandria), the powder X-ray diffraction pattern of La5Er2Tm3 was calculated for CuKα.

Most intense lines, 15 to 90 degrees two-theta, in order of rising 2θ:
- 29.17 deg, 3.061 Å, rel. 935, (2 2 1)
- 31.04 deg, 2.881 Å, rel. 1000, (2 4 -2)
- 31.89 deg, 2.806 Å, rel. 228, (0 4 2)
- 33.14 deg, 2.703 Å, rel. 471, (4 0 -2)
- 33.59 deg, 2.668 Å, rel. 207, (0 2 3)
- 35.51 deg, 2.528 Å, rel. 283, (2 0 -4)
- 40.09 deg, 2.249 Å, rel. 158, (2 6 -1)
- 46.66 deg, 1.947 Å, rel. 160, (4 4 0)
- 48.67 deg, 1.871 Å, rel. 226, (0 6 3)
- 57.89 deg, 1.593 Å, rel. 171, (6 4 -4)
- 60.15 deg, 1.538 Å, rel. 240, (4 6 -5)
- 62.02 deg, 1.496 Å, rel. 313, (2 4 4)

Structural model:
Cell: 10.813 14.841 10.134 Å, 90.00 122.16 90.00°
Space group C2/c (No. 15)
One atom of each set of equivalent atoms:
La 0.000 0.018 0.250 (multiplicity 4)
La 0.000 0.227 0.250 (multiplicity 4)
La 0.000 0.477 0.750 (multiplicity 4)
La 0.249 0.368 0.245 (multiplicity 8)
Er 0.156 0.131 0.062 (multiplicity 8)
Tm 0.000 0.270 0.750 (multiplicity 4)
Tm 0.154 0.374 0.560 (multiplicity 8)